Structure and computed powder XRD pattern of TmZnGa2Cu4 (a cell relaxed with PBE; λ = 1.5418 Å (Cu Kα)).

Largest 10 diffraction maxima, sorted by position, 15 to 90 degrees two-theta:
index  2θ (°)  I (rel.)
0 1 2  25.68  14
1 0 4  28.68  13
0 1 5  30.75  16
1 0 7  35.76  25
0 1 8  38.59  99
1 1 0  43.31  100
2 0 8  59.39  27
1 1 12  63.87  14
1 2 8  76.30  25
3 0 0  79.46  16

Structural model:
abc: 4.1783 4.1783 24.4134
angles: 90.00 90.00 120.00
Space group R-3m (No. 166, hexagonal axes)
Asymmetric unit:
Tm1 0.0000 0.0000 0.0000 x3
Zn1 0.0000 0.0000 0.5000 x3
Ga1 0.0000 0.0000 0.2483 x6
Cu1 0.0000 0.0000 0.1312 x6
Cu2 0.0000 0.0000 0.4003 x6



Structure and computed powder XRD pattern of Sm2Zn16Ru (a cell relaxed with PBE; λ = 1.5418 Å (Cu Kα)).

Largest 10 diffraction maxima, sorted by position, 15 to 90 degrees two-theta:
index  2θ (°)  I (rel.)
1 1 3  28.37  28
3 0 0  34.43  43
0 2 4  35.66  33
2 2 0  39.97  75
0 3 3  40.26  100
0 0 6  41.11  51
2 0 5  41.35  33
2 2 3  45.19  34
2 2 6  58.67  23
0 3 9  74.37  20

Structural model:
abc: 9.0235 9.0235 13.1667
angles: 90.00 90.00 120.00
Space group R3m (No. 160, hexagonal axes)
Asymmetric unit:
Sm1 0.0000 0.0000 0.9998 x3
Sm2 0.0000 0.0000 0.3333 x3
Zn1 0.0000 0.0000 0.7611 x3
Zn2 0.9998 0.2859 0.6576 x18
Zn3 0.0014 0.5007 0.8096 x9
Zn4 0.0084 0.5042 0.1586 x9
Zn5 0.1723 0.3446 0.8432 x9
Ru1 0.0000 0.0000 0.5620 x3



Structure and computed powder XRD pattern of Ca2La7Sm2 (a cell relaxed with PBE; λ = 1.5418 Å (Cu Kα)).

Largest 10 diffraction maxima, sorted by position, 15 to 90 degrees two-theta:
index  2θ (°)  I (rel.)
0 2 0  15.56  8
0 1 3  21.33  9
1 3 0  28.50  11
1 2 3  30.09  100
0 4 0  31.41  23
2 0 0  32.33  24
0 0 6  40.30  9
2 4 0  45.70  16
1 6 3  55.11  17
3 2 3  56.28  17

Structural model:
abc: 5.538 11.393 13.427
angles: 90.00 90.00 90.00
Space group Immm (No. 71)
Asymmetric unit:
Ca1 0.000 0.000 0.176 x4
La1 0.000 0.244 0.345 x8
La2 0.000 0.500 0.133 x4
La3 0.000 0.500 0.500 x2
Sm1 0.000 0.222 0.000 x4



Structure and computed powder XRD pattern of Li4Hg2F9 (a cell relaxed with PBE; λ = 1.5418 Å (Cu Kα)).

Largest 10 diffraction maxima, sorted by position, 15 to 90 degrees two-theta:
index  2θ (°)  I (rel.)
1 0 0  18.68  100
1 1 0  19.67  48
0 0 4  24.61  26
0 1 4  30.79  33
1 1 4  31.14  23
1 0 -4  31.35  26
1 2 0  33.84  18
0 2 0  37.87  21
-1 1 4  40.81  17
1 2 4  41.63  16

Structural model:
abc: 5.310 5.311 14.481
angles: 88.29 88.32 63.49
Space group P-1 (No. 2)
Asymmetric unit:
Li1 0.109 0.203 0.305 x2
Li2 0.151 0.179 0.509 x2
Li3 0.179 0.151 0.009 x2
Li4 0.203 0.109 0.805 x2
Hg1 0.449 0.517 0.131 x2
Hg2 0.482 0.550 0.368 x2
F1 0.074 0.902 0.090 x2
F2 0.077 0.524 0.589 x2
F3 0.099 0.925 0.410 x2
F4 0.133 0.532 0.238 x2
F5 0.201 0.494 0.952 x2
F6 0.236 0.764 0.750 x2
F7 0.468 0.866 0.262 x2
F8 0.476 0.923 0.911 x2
F9 0.494 0.200 0.451 x2



Structure and computed powder XRD pattern of PmAuBr (a cell relaxed with PBE; λ = 1.5418 Å (Cu Kα)).

Largest 10 diffraction maxima, sorted by position, 15 to 90 degrees two-theta:
index  2θ (°)  I (rel.)
0 1 2  24.80  76
1 0 4  26.18  29
0 1 8  31.16  100
1 0 10  34.46  45
0 1 11  36.27  71
1 0 13  40.13  88
1 1 0  42.79  98
1 1 3  43.45  34
1 1 21  69.44  38
2 1 13  76.57  27

Structural model:
abc: 4.2262 4.2262 37.0128
angles: 90.00 90.00 120.00
Space group R-3m (No. 166, hexagonal axes)
Asymmetric unit:
Pm1 0.0000 0.0000 0.2331 x6
Au1 0.0000 0.0000 0.1446 x6
Br1 0.0000 0.0000 0.3840 x6



Repeat the second record exactly.
Structure and computed powder XRD pattern of Sm2Zn16Ru (a cell relaxed with PBE; λ = 1.5418 Å (Cu Kα)).

Largest 10 diffraction maxima, sorted by position, 15 to 90 degrees two-theta:
index  2θ (°)  I (rel.)
1 1 3  28.37  28
3 0 0  34.43  43
0 2 4  35.66  33
2 2 0  39.97  75
0 3 3  40.26  100
0 0 6  41.11  51
2 0 5  41.35  33
2 2 3  45.19  34
2 2 6  58.67  23
0 3 9  74.37  20

Structural model:
abc: 9.0235 9.0235 13.1667
angles: 90.00 90.00 120.00
Space group R3m (No. 160, hexagonal axes)
Asymmetric unit:
Sm1 0.0000 0.0000 0.9998 x3
Sm2 0.0000 0.0000 0.3333 x3
Zn1 0.0000 0.0000 0.7611 x3
Zn2 0.9998 0.2859 0.6576 x18
Zn3 0.0014 0.5007 0.8096 x9
Zn4 0.0084 0.5042 0.1586 x9
Zn5 0.1723 0.3446 0.8432 x9
Ru1 0.0000 0.0000 0.5620 x3



Q: Which formula does entry 5 have?
A: PmAuBr



What did the fifth record say?
Structure and computed powder XRD pattern of PmAuBr (a cell relaxed with PBE; λ = 1.5418 Å (Cu Kα)).

Largest 10 diffraction maxima, sorted by position, 15 to 90 degrees two-theta:
index  2θ (°)  I (rel.)
0 1 2  24.80  76
1 0 4  26.18  29
0 1 8  31.16  100
1 0 10  34.46  45
0 1 11  36.27  71
1 0 13  40.13  88
1 1 0  42.79  98
1 1 3  43.45  34
1 1 21  69.44  38
2 1 13  76.57  27

Structural model:
abc: 4.2262 4.2262 37.0128
angles: 90.00 90.00 120.00
Space group R-3m (No. 166, hexagonal axes)
Asymmetric unit:
Pm1 0.0000 0.0000 0.2331 x6
Au1 0.0000 0.0000 0.1446 x6
Br1 0.0000 0.0000 0.3840 x6